No. 1
Calculated powder diffractogram
Compound: Mn3Cr2O8
Radiation: copper Kα
Structure: the PBE+U geometry in the Materials Project

Most intense lines, 2θ from 5° to 70°, sorted by position:
2theta  d/Å  Rel. int.
18.8  4.713  31
30.4  2.942  63
34.4  2.608  100
34.9  2.569  54
36.0  2.496  30
42.6  2.122  31
52.4  1.745  24
57.3  1.607  21
60.4  1.532  43
63.2  1.471  36

Atomic structure:
```
data_Mn3Cr2O8
_space_group_name_H-M_alt 'R -3 m'
_space_group_IT_number 166
_space_group_name_Hall '-R 3 2"'
_cell_length_a 6.1290
_cell_length_b 6.1290
_cell_length_c 14.1380
_cell_angle_alpha 90.00
_cell_angle_beta 90.00
_cell_angle_gamma 120.00
loop_
_atom_site_label
_atom_site_type_symbol
_atom_site_fract_x
_atom_site_fract_y
_atom_site_fract_z
_atom_site_occupancy
Mn1 Mn 0.0000 0.5000 0.0000 1
Cr1 Cr 0.0000 0.0000 0.1213 1
O1 O 0.0000 0.0000 0.2509 1
O2 O 0.0131 0.5065 0.7452 1
```

No. 2
Calculated powder diffractogram
Compound: Mn2CrO4
Radiation: copper Kα
Structure: the PBE+U geometry in the Materials Project

Most intense lines, 2θ from 5° to 70°, sorted by position:
2theta  d/Å  Rel. int.
28.9  3.095  72
29.8  2.995  45
33.3  2.689  100
33.7  2.662  70
34.6  2.590  67
34.7  2.582  77
35.1  2.560  64
35.4  2.536  79
59.7  1.548  73
62.0  1.498  66

Atomic structure:
```
data_Mn2CrO4
_space_group_name_H-M_alt 'C 1 c 1'
_space_group_IT_number 9
_space_group_name_Hall 'C -2yc'
_cell_length_a 8.3879
_cell_length_b 8.5591
_cell_length_c 6.0870
_cell_angle_alpha 90.00
_cell_angle_beta 132.53
_cell_angle_gamma 90.00
loop_
_atom_site_label
_atom_site_type_symbol
_atom_site_fract_x
_atom_site_fract_y
_atom_site_fract_z
_atom_site_occupancy
Mn1 Mn 0.0000 0.1202 0.0000 1
Mn2 Mn 0.2499 0.2507 0.7509 1
Cr1 Cr 0.4994 0.0005 0.7499 1
O1 O 0.0173 0.2650 0.7476 1
O2 O 0.2202 0.4850 0.7055 1
O3 O 0.2788 0.0157 0.7940 1
O4 O 0.4822 0.2366 0.7526 1
```

No. 3
Calculated powder diffractogram
Compound: Mn2CrO6
Radiation: copper Kα
Structure: the PBE+U geometry in the Materials Project

Most intense lines, 2θ from 5° to 70°, sorted by position:
2theta  d/Å  Rel. int.
18.9  4.701  100
35.8  2.509  12
36.1  2.488  23
43.8  2.067  17
44.1  2.054  33
48.3  1.883  6
58.6  1.575  10
63.4  1.468  10
64.4  1.446  8
66.8  1.401  9

Atomic structure:
```
data_Mn2CrO6
_space_group_name_H-M_alt 'C 1 2/m 1'
_space_group_IT_number 12
_space_group_name_Hall '-C 2y'
_cell_length_a 12.6800
_cell_length_b 2.9101
_cell_length_c 5.7985
_cell_angle_alpha 90.00
_cell_angle_beta 102.03
_cell_angle_gamma 90.00
loop_
_atom_site_label
_atom_site_type_symbol
_atom_site_fract_x
_atom_site_fract_y
_atom_site_fract_z
_atom_site_occupancy
Mn1 Mn 0.1674 0.0000 0.3338 1
Cr1 Cr 0.0000 0.5000 0.0000 1
O1 O 0.0110 0.0000 0.2251 1
O2 O 0.1578 0.5000 0.1108 1
O3 O 0.1770 0.5000 0.5590 1
```

No. 4
Calculated powder diffractogram
Compound: MnCrO4
Radiation: copper Kα
Structure: the PBE+U geometry in the Materials Project

Most intense lines, 2θ from 5° to 70°, sorted by position:
2theta  d/Å  Rel. int.
16.8  5.270  26
22.7  3.923  25
27.0  3.297  100
28.3  3.154  78
29.4  3.036  58
30.8  2.905  63
31.6  2.834  43
33.0  2.713  42
45.7  1.986  26
58.4  1.581  30

Atomic structure:
```
data_MnCrO4
_space_group_name_H-M_alt 'P 1 21/c 1'
_space_group_IT_number 14
_space_group_name_Hall '-P 2ybc'
_cell_length_a 5.4491
_cell_length_b 8.3024
_cell_length_c 8.3495
_cell_angle_alpha 90.00
_cell_angle_beta 125.23
_cell_angle_gamma 90.00
loop_
_atom_site_label
_atom_site_type_symbol
_atom_site_fract_x
_atom_site_fract_y
_atom_site_fract_z
_atom_site_occupancy
Mn1 Mn 0.1181 0.0452 0.3525 1
Cr1 Cr 0.3818 0.6915 0.6434 1
O1 O 0.1743 0.6372 0.0814 1
O2 O 0.2112 0.5655 0.4567 1
O3 O 0.2800 0.2352 0.7997 1
O4 O 0.4164 0.6062 0.8399 1
```

No. 5
Calculated powder diffractogram
Compound: Mn2CrO4
Radiation: copper Kα
Structure: the PBE+U geometry in the Materials Project

Most intense lines, 2θ from 5° to 70°, sorted by position:
2theta  d/Å  Rel. int.
28.8  3.096  32
29.5  3.032  30
33.8  2.655  59
34.0  2.640  47
34.3  2.616  100
34.9  2.568  44
35.1  2.555  50
55.0  1.671  37
59.7  1.548  48
60.4  1.533  23

Atomic structure:
```
data_Mn2CrO4
_space_group_name_H-M_alt 'P -1'
_space_group_IT_number 2
_space_group_name_Hall '-P 1'
_cell_length_a 6.0511
_cell_length_b 6.0782
_cell_length_c 10.5104
_cell_angle_alpha 75.55
_cell_angle_beta 74.59
_cell_angle_gamma 61.38
loop_
_atom_site_label
_atom_site_type_symbol
_atom_site_fract_x
_atom_site_fract_y
_atom_site_fract_z
_atom_site_occupancy
Mn1 Mn 0.0000 0.0000 0.0000 1
Mn2 Mn 0.0000 0.0000 0.5000 1
Mn3 Mn 0.0647 0.5620 0.3118 1
Mn4 Mn 0.2614 0.7385 0.7503 1
Mn5 Mn 0.4299 0.9440 0.1881 1
Cr1 Cr 0.0000 0.5000 0.0000 1
Cr2 Cr 0.5000 0.0000 0.5000 1
Cr3 Cr 0.5000 0.5000 0.0000 1
Cr4 Cr 0.5000 0.5000 0.5000 1
O1 O 0.0829 0.1532 0.1169 1
O2 O 0.1343 0.6422 0.1036 1
O3 O 0.1417 0.1041 0.6089 1
O4 O 0.1590 0.6270 0.6263 1
O5 O 0.3547 0.3874 0.8909 1
O6 O 0.3657 0.8582 0.3963 1
O7 O 0.3795 0.8334 0.8739 1
O8 O 0.4076 0.3446 0.3840 1
```

No. 6
Calculated powder diffractogram
Compound: MnCr3P4O16
Radiation: copper Kα
Structure: the PBE+U geometry in the Materials Project

Most intense lines, 2θ from 5° to 70°, sorted by position:
2theta  d/Å  Rel. int.
17.9  4.956  86
20.5  4.342  68
20.7  4.301  56
23.5  3.778  40
25.6  3.484  55
25.7  3.463  68
30.6  2.919  100
36.2  2.478  69
36.6  2.455  70
49.1  1.854  27

Atomic structure:
```
data_MnCr3P4O16
_space_group_name_H-M_alt 'P 1 m 1'
_space_group_IT_number 6
_space_group_name_Hall 'P -2y'
_cell_length_a 4.8020
_cell_length_b 5.8375
_cell_length_c 9.9123
_cell_angle_alpha 90.00
_cell_angle_beta 90.70
_cell_angle_gamma 90.00
loop_
_atom_site_label
_atom_site_type_symbol
_atom_site_fract_x
_atom_site_fract_y
_atom_site_fract_z
_atom_site_occupancy
Mn1 Mn 0.0000 0.0000 0.0000 1
Cr1 Cr 0.0807 0.5000 0.4532 1
Cr2 Cr 0.5239 0.5000 0.9501 1
Cr3 Cr 0.5822 0.0000 0.4935 1
P1 P 0.1324 0.0000 0.3168 1
P2 P 0.4671 0.0000 0.8185 1
P3 P 0.6412 0.5000 0.6303 1
P4 P 0.9700 0.5000 0.1298 1
O1 O 0.2103 0.0000 0.1677 1
O2 O 0.2832 0.5000 0.1122 1
O3 O 0.2844 0.2042 0.3943 1
O4 O 0.3262 0.5000 0.6130 1
O5 O 0.3279 0.2073 0.8927 1
O6 O 0.3954 0.0000 0.6684 1
O7 O 0.7291 0.5000 0.7776 1
O8 O 0.7879 0.0000 0.8366 1
O9 O 0.7878 0.2958 0.5505 1
O10 O 0.8160 0.2983 0.0515 1
O11 O 0.8184 0.0000 0.3326 1
O12 O 0.8867 0.5000 0.2773 1
```